CsAgSb4S7: theoretical powder XRD pattern (Cu Kα), based on a PBE-relaxed structure.
Peak positions follow from Bragg's law for the DFT cell and can differ from measured ones.

Atomic structure:
```
data_CsAgSb4S7
_cell_length_a 26.6288
_cell_length_b 8.9628
_cell_length_c 12.6120
_cell_angle_alpha 90.00
_cell_angle_beta 96.56
_cell_angle_gamma 90.00
_space_group_name_H-M_alt 'C 1 2/c 1'
_space_group_IT_number 15
loop_
_space_group_symop_operation_xyz
'x,y,z'
'-x,-y,-z'
'-x,y,-z+1/2'
'x,-y,z+1/2'
'x+1/2,y+1/2,z'
'-x+1/2,-y+1/2,-z'
'-x+1/2,y+1/2,-z+1/2'
'x+1/2,-y+1/2,z+1/2'
loop_
_atom_site_label
_atom_site_fract_x
_atom_site_fract_y
_atom_site_fract_z
Cs1 0.0000 0.1655 0.2500
Cs2 0.2500 0.2500 0.0000
Ag1 0.2384 0.0949 0.2973
Sb1 0.0721 0.4459 0.5747
Sb2 0.0815 0.2042 0.8754
Sb3 0.1414 0.0876 0.5593
Sb4 0.1459 0.3972 0.3228
S1 0.0389 0.4718 0.8913
S2 0.0510 0.1754 0.5493
S3 0.1110 0.1941 0.0669
S4 0.1476 0.0499 0.3678
S5 0.1523 0.3223 0.7944
S6 0.1623 0.4024 0.5228
S7 0.2363 0.3750 0.3034
```

Principal peaks in the range 2θ from 10° to 90°, by angle:
(hkl), d [Å], intensity
5 1 1, 4.153, 70
5 1 -2, 3.870, 50
1 1 -3, 3.804, 74
4 2 1, 3.497, 56
7 1 -1, 3.450, 44
2 0 4, 2.971, 100
1 3 -1, 2.898, 65
9 1 -1, 2.792, 39